[1]
This entry pairs a crystal structure of KPrP2Se6 with its theoretical PXRD pattern. Radiation: Cu Kα X-rays. Structure: the PBE geometry in the Materials Project.
No peak broadening, texture or thermal motion is included.

Peak list (10 most intense, 2θ from 10° to 80°, most intense first)
(hkl), 2θ (°), I_rel
2 2 -2, 28.79, 100
4 1 -2, 31.14, 64
0 0 4, 31.70, 36
0 1 1, 13.68, 35
4 1 0, 32.27, 34
4 0 -4, 35.87, 34
4 0 0, 30.17, 33
1 1 3, 29.46, 31
2 2 2, 34.02, 29
2 1 2, 27.60, 26

Cell and atoms:
```
data_KPrP2Se6
_chemical_formula_sum 'K4 Pr4 P8 Se24'
_space_group_name_H-M_alt 'P 1 21/c 1'
_space_group_IT_number 14
_space_group_name_Hall '-P 2ybc'
_cell_length_a 12.574
_cell_length_b 7.898
_cell_length_c 11.979
_cell_angle_alpha 90.00
_cell_angle_beta 109.52
_cell_angle_gamma 90.00
loop_
_atom_site_label
_atom_site_type_symbol
_atom_site_fract_x
_atom_site_fract_y
_atom_site_fract_z
K1 K 0.128 0.087 0.374
Pr1 Pr 0.351 0.603 0.595
P1 P 0.210 0.617 0.267
P2 P 0.324 0.098 0.753
Se1 Se 0.110 0.518 0.372
Se2 Se 0.130 0.714 0.086
Se3 Se 0.215 0.209 0.139
Se4 Se 0.329 0.689 0.867
Se5 Se 0.412 0.190 0.936
Se6 Se 0.449 0.527 0.184
```



[2]
This entry pairs a crystal structure of Li9Nb14S28 with its theoretical PXRD pattern. Radiation: Cu Kα X-rays. Structure: the PBE geometry in the Materials Project.
No peak broadening, texture or thermal motion is included.

Peak list (10 most intense, 2θ from 10° to 80°, most intense first)
(hkl), 2θ (°), I_rel
0 0 2, 13.68, 100
1 3 3, 41.60, 68
1 3 1, 33.60, 59
3 2 -1, 54.29, 23
2 -1 0, 30.54, 20
1 3 5, 52.70, 18
-2 1 1, 31.33, 16
0 7 0, 56.27, 14
-2 8 2, 70.64, 13
2 6 0, 65.38, 8

Cell and atoms:
```
data_Li9Nb14S28
_chemical_formula_sum 'Li9 Nb14 S28'
_space_group_name_H-M_alt 'P -1'
_space_group_IT_number 2
_space_group_name_Hall '-P 1'
_cell_length_a 5.850
_cell_length_b 12.189
_cell_length_c 13.382
_cell_angle_alpha 104.19
_cell_angle_beta 90.03
_cell_angle_gamma 103.85
loop_
_atom_site_label
_atom_site_type_symbol
_atom_site_fract_x
_atom_site_fract_y
_atom_site_fract_z
Li1 Li 0.000 0.000 0.000
Li2 Li 0.071 0.143 0.500
Li3 Li 0.214 0.428 0.500
Li4 Li 0.286 0.571 0.000
Li5 Li 0.427 0.855 0.000
Nb1 Nb 0.036 0.072 0.250
Nb2 Nb 0.109 0.214 0.751
Nb3 Nb 0.179 0.357 0.249
Nb4 Nb 0.250 0.500 0.750
Nb5 Nb 0.323 0.644 0.251
Nb6 Nb 0.392 0.786 0.749
Nb7 Nb 0.465 0.928 0.251
S1 S 0.006 0.678 0.371
S2 S 0.029 0.391 0.871
S3 S 0.113 0.894 0.129
S4 S 0.138 0.609 0.629
S5 S 0.149 0.963 0.371
S6 S 0.171 0.678 0.871
S7 S 0.257 0.180 0.129
S8 S 0.281 0.894 0.629
S9 S 0.292 0.249 0.371
S10 S 0.315 0.963 0.872
S11 S 0.399 0.465 0.129
S12 S 0.424 0.180 0.629
S13 S 0.434 0.535 0.371
S14 S 0.457 0.249 0.871
```



[3]
This entry pairs a crystal structure of Al2Te2Cl7 with its theoretical PXRD pattern. Radiation: Cu Kα X-rays. Structure: the PBE geometry in the Materials Project.
No peak broadening, texture or thermal motion is included.

Peak list (10 most intense, 2θ from 10° to 80°, most intense first)
(hkl), 2θ (°), I_rel
1 0 -2, 15.39, 100
0 1 1, 10.05, 75
0 1 3, 20.93, 45
1 1 -3, 22.37, 41
1 0 -4, 27.03, 39
1 1 -1, 13.39, 35
3 1 0, 29.18, 28
3 0 0, 28.06, 26
2 4 -1, 36.97, 25
2 3 -2, 32.21, 21

Cell and atoms:
```
data_Al2Te2Cl7
_chemical_formula_sum 'Al8 Te8 Cl28'
_space_group_name_H-M_alt 'P 1 21/c 1'
_space_group_IT_number 14
_space_group_name_Hall '-P 2ybc'
_cell_length_a 9.551
_cell_length_b 11.475
_cell_length_c 13.739
_cell_angle_alpha 90.00
_cell_angle_beta 93.98
_cell_angle_gamma 90.00
loop_
_atom_site_label
_atom_site_type_symbol
_atom_site_fract_x
_atom_site_fract_y
_atom_site_fract_z
Al1 Al 0.118 0.177 0.205
Al2 Al 0.261 0.582 0.344
Te1 Te 0.324 0.565 0.949
Te2 Te 0.433 0.154 0.465
Cl1 Cl 0.030 0.532 0.353
Cl2 Cl 0.042 0.167 0.636
Cl3 Cl 0.110 0.168 0.361
Cl4 Cl 0.275 0.716 0.238
Cl5 Cl 0.317 0.123 0.162
Cl6 Cl 0.317 0.647 0.489
Cl7 Cl 0.362 0.076 0.810
```